(1)
Theoretical powder XRD pattern
Compound: BaPdPbO4
Radiation: Cu Kα
Structure: the PBE geometry in Alexandria
Neutral-atom scattering factors, no anomalous dispersion.

Principal peaks in the range 2θ = 10–90°, sorted by position:
two_theta	I/Imax
15.9	766
24.6	379
26.6	989
30.1	286
31.1	690
31.6	1000
32.4	526
49.5	284
50.5	632
52.2	281

Structure:
```
BaPdPbO4
1.0
-3.154 3.289 5.943
3.154 -3.289 5.943
3.154 3.289 -5.943
Ba Pd Pb O
2 2 2 8
Direct
0.412 0.162 0.250
0.588 0.838 0.750
0.000 0.000 0.500
0.000 0.500 0.000
0.000 0.500 0.500
0.500 0.500 0.000
0.144 0.699 0.445
0.247 0.301 0.945
0.266 0.292 0.526
0.266 0.739 0.974
0.734 0.261 0.026
0.734 0.708 0.474
0.753 0.699 0.055
0.856 0.301 0.555
```


(2)
Theoretical powder XRD pattern
Compound: AcSiAu
Radiation: Cu Kα
Structure: the PBE geometry in Alexandria
Neutral-atom scattering factors, no anomalous dispersion.

Principal peaks in the range 2θ = 10–90°, sorted by position:
two_theta	I/Imax
23.2	241
30.7	1000
40.2	122
40.8	353
46.9	80
51.9	237
58.6	247
67.1	111
68.0	214
87.9	85

Structure:
```
AcSiAu
1.0
4.427 0.000 0.000
-2.214 3.834 0.000
0.000 0.000 4.490
Ac Si Au
1 1 1
Direct
0.000 0.000 0.000
0.333 0.667 0.500
0.667 0.333 0.500
```


(3)
Theoretical powder XRD pattern
Compound: Ce2TaMoN6
Radiation: Cu Kα
Structure: the PBE geometry in Alexandria
Neutral-atom scattering factors, no anomalous dispersion.

Principal peaks in the range 2θ = 10–90°, sorted by position:
two_theta	I/Imax
31.4	225
31.9	1000
32.2	254
45.6	200
45.8	125
56.2	130
57.1	110
57.2	218
66.6	117
75.9	95

Structure:
```
Ce2TaMoN6
1.0
5.562 0.000 0.000
0.000 5.699 0.000
-5.552 0.000 7.925
Ce Ta Mo N
4 2 2 12
Direct
0.243 0.055 0.250
0.243 0.445 0.750
0.757 0.555 0.250
0.757 0.945 0.750
0.500 0.000 0.000
0.500 0.500 0.500
0.000 0.000 0.500
0.000 0.500 0.000
0.145 0.200 0.951
0.145 0.300 0.451
0.254 0.695 0.953
0.254 0.805 0.453
0.340 0.026 0.748
0.340 0.474 0.248
0.660 0.526 0.752
0.660 0.974 0.252
0.746 0.195 0.547
0.746 0.305 0.047
0.855 0.700 0.549
0.855 0.800 0.049
```


(4)
Theoretical powder XRD pattern
Compound: LaZr
Radiation: Cu Kα
Structure: the PBE geometry in Alexandria
Neutral-atom scattering factors, no anomalous dispersion.

Principal peaks in the range 2θ = 10–90°, sorted by position:
two_theta	I/Imax
30.3	248
31.4	233
34.2	1000
44.2	145
48.3	49
53.8	190
57.7	133
63.6	178
65.3	161
89.6	161

Structure:
```
LaZr
1.0
3.407 0.000 0.000
-1.703 2.950 0.000
0.000 0.000 17.118
La Zr
3 3
Direct
0.000 0.000 0.000
0.000 0.000 0.327
0.667 0.333 0.526
0.000 0.000 0.690
0.667 0.333 0.166
0.667 0.333 0.832
```


(5)
Theoretical powder XRD pattern
Compound: Cu2SbTe3
Radiation: Cu Kα
Structure: the PBE geometry in Alexandria
Neutral-atom scattering factors, no anomalous dispersion.

Principal peaks in the range 2θ = 10–90°, sorted by position:
two_theta	I/Imax
23.9	1000
26.1	733
26.3	707
37.0	244
42.1	506
42.4	515
43.0	297
45.5	197
45.9	166
51.0	225

Structure:
```
Cu2SbTe3
1.0
3.556 -7.298 0.000
3.556 7.298 0.000
-2.196 0.000 6.831
Cu Sb Te
4 2 6
Direct
0.077 0.923 0.500
0.240 0.776 0.004
0.776 0.240 0.504
0.923 0.077 0.000
0.386 0.577 0.526
0.577 0.386 0.026
0.101 0.654 0.631
0.258 0.493 0.111
0.493 0.258 0.611
0.654 0.101 0.131
0.828 0.985 0.624
0.985 0.828 0.124
```


(6)
Theoretical powder XRD pattern
Compound: Nb3Ge4
Radiation: Cu Kα
Structure: the PBE geometry in Alexandria
Neutral-atom scattering factors, no anomalous dispersion.

Principal peaks in the range 2θ = 10–90°, sorted by position:
two_theta	I/Imax
17.8	17
36.8	684
41.1	1000
53.1	234
65.6	59
69.2	408
77.7	143
78.3	72
89.2	103
89.9	105

Structure:
```
Nb3Ge4
1.0
-1.726 1.726 9.962
1.726 -1.726 9.962
1.726 1.726 -9.962
Nb Ge
3 4
Direct
0.000 0.000 0.000
0.288 0.288 0.000
0.712 0.712 0.000
0.145 0.145 0.000
0.431 0.431 0.000
0.569 0.569 0.000
0.855 0.855 0.000
```


(7)
Theoretical powder XRD pattern
Compound: Pr2Sm4Te3N2
Radiation: Cu Kα
Structure: the PBE geometry in Alexandria
Neutral-atom scattering factors, no anomalous dispersion.

Principal peaks in the range 2θ = 10–90°, sorted by position:
two_theta	I/Imax
27.1	162
27.7	427
30.1	163
30.4	138
33.8	1000
38.3	507
47.5	141
55.3	173
62.9	151
66.4	284

Structure:
```
Pr2Sm4Te3N2
1.0
-2.350 2.350 13.182
2.350 -2.350 13.182
2.350 2.350 -13.182
Pr Sm Te N
2 4 3 2
Direct
0.195 0.195 0.000
0.805 0.805 0.000
0.083 0.583 0.500
0.417 0.917 0.500
0.583 0.083 0.500
0.917 0.417 0.500
0.324 0.324 0.000
0.500 0.500 0.000
0.676 0.676 0.000
0.105 0.105 0.000
0.895 0.895 0.000
```


(8)
Theoretical powder XRD pattern
Compound: Y4Ru3
Radiation: Cu Kα
Structure: the PBE geometry in Alexandria
Neutral-atom scattering factors, no anomalous dispersion.

Principal peaks in the range 2θ = 10–90°, sorted by position:
two_theta	I/Imax
11.6	131
21.3	91
36.8	1000
38.1	903
53.9	321
66.2	171
67.1	327
69.6	147
78.2	105
81.4	97

Structure:
```
Y4Ru3
1.0
2.445 1.412 7.600
-2.445 1.412 7.600
0.000 -2.823 7.600
Y Ru
4 3
Direct
0.124 0.124 0.124
0.374 0.374 0.374
0.626 0.626 0.626
0.876 0.876 0.876
0.248 0.248 0.248
0.500 0.500 0.500
0.752 0.752 0.752
```